Computed PXRD pattern
Compound: Ac2Tb5Ho12
Radiation: Cu Kα (λ = 1.5418 Å)
Structure: a cell relaxed with GGA-PBE
Lines closer than 0.1° are merged.

Most intense lines, 2θ from 10° to 80°, by intensity:
two_theta	Rel. int.	hkl
32.55	1000	2 0 2
31.31	878	2 0 -3
31.78	646	-1 2 2
32.18	614	1 2 -1
33.39	477	0 0 5
32.94	411	2 -2 1
30.23	270	1 -2 3
61.34	234	1 4 -5

Structural model:
```
19
Lattice="6.7844 0.0000 0.0000 -1.7456 6.9114 0.0000 -1.3698 -3.6203 13.4184" Properties=species:S:1:pos:R:3 pbc="T T T"
Ac 0.1576 1.1024 6.4374
Ac 3.5115 2.1888 6.9810
Tb -0.6043 4.6406 1.2483
Tb -0.6465 4.6116 6.4333
Tb 2.5194 3.4557 0.0000
Tb 4.3155 -1.3205 6.9850
Tb 4.2733 -1.3495 12.1701
Ho -0.4838 -2.5586 9.5640
Ho -1.2814 0.9124 9.8355
Ho 0.6093 1.0500 1.4812
Ho -0.5233 3.2596 12.1593
Ho 1.5865 3.4300 3.8179
Ho 2.5204 -0.1289 4.1065
Ho 1.1486 3.4200 9.3119
Ho 2.0825 -0.1389 9.6004
Ho 4.1923 0.0315 1.2591
Ho 3.0597 2.2411 11.9372
Ho 4.9504 2.3787 3.5829
Ho 4.1528 5.8497 3.8544
```